No. 1
Mg2TlIn: simulated X-ray diffraction stick pattern (CuKα), based on a cell relaxed with GGA-PBE.
Peak positions follow from Bragg's law for the DFT cell and can differ from measured ones.

Main lines, most intense first (2θ = 15–90°):
| d_spacing | 2θ (°) | I/Imax | hkl |
| --- | --- | --- | --- |
| 2.583 | 34.7 | 100.0 | 1 1 2 |
| 3.635 | 24.5 | 62.7 | 1 0 2 |
| 2.571 | 34.9 | 49.3 | 2 0 0 |
| 1.486 | 62.5 | 36.0 | 3 1 2 |
| 3.670 | 24.3 | 32.1 | 0 1 0 |
| 2.105 | 43.0 | 28.9 | 2 1 0 |

Structural model:
Cell lengths 5.144, 3.670, 10.277 Å; angles 90.00, 90.00, 90.00 degrees
Space group Pmma (No. 51)
One atom of each set of equivalent atoms:
Mg (0.250, 0.000, 0.123)
Mg (0.250, 0.000, 0.629)
Tl (0.250, 0.500, 0.374)
In (0.250, 0.500, 0.877)


No. 2
Ca3Sc2: simulated X-ray diffraction stick pattern (CuKα), based on a cell relaxed with GGA-PBE.
Peak positions follow from Bragg's law for the DFT cell and can differ from measured ones.

Main lines, most intense first (2θ = 15–90°):
| d_spacing | 2θ (°) | I/Imax | hkl |
| --- | --- | --- | --- |
| 2.949 | 30.3 | 100.0 | 1 5 1 |
| 2.793 | 32.0 | 75.8 | 2 0 2 |
| 2.429 | 37.0 | 46.3 | 3 5 1 |
| 3.029 | 29.5 | 38.0 | 4 0 0 |
| 1.669 | 55.0 | 19.2 | 2 10 0 |
| 1.777 | 51.4 | 17.0 | 1 5 3 |

Structural model:
Cell lengths 12.118, 17.360, 6.295 Å; angles 90.00, 90.00, 90.00 degrees
Space group Fdd2 (No. 43)
One atom of each set of equivalent atoms:
Ca (0.000, 0.000, 0.000)
Ca (0.035, 0.398, 0.015)
Sc (0.018, 0.295, 0.553)


No. 3
MgZr2S4: simulated X-ray diffraction stick pattern (CuKα), based on a cell relaxed with GGA-PBE.
Peak positions follow from Bragg's law for the DFT cell and can differ from measured ones.

Main lines, most intense first (2θ = 15–90°):
| d_spacing | 2θ (°) | I/Imax | hkl |
| --- | --- | --- | --- |
| 2.792 | 32.1 | 100.0 | 1 1 1 |
| 2.239 | 40.3 | 78.5 | 2 0 -2 |
| 2.803 | 31.9 | 51.7 | 2 0 -1 |
| 2.221 | 40.6 | 50.1 | 1 1 2 |
| 1.791 | 51.0 | 38.5 | 3 1 0 |
| 3.116 | 28.6 | 37.7 | 1 1 0 |

Structural model:
Cell lengths 6.191, 3.607, 6.386 Å; angles 90.00, 90.88, 90.00 degrees
Space group P2/m (No. 10)
One atom of each set of equivalent atoms:
Mg (0.000, 0.000, 0.000)
Zr (0.000, 0.000, 0.500)
Zr (0.500, 0.500, 0.500)
S (0.170, 0.500, 0.756)
S (0.331, 0.000, 0.255)


No. 4
Ac4Cd5Sn7: simulated X-ray diffraction stick pattern (CuKα), based on a cell relaxed with GGA-PBE.
Peak positions follow from Bragg's law for the DFT cell and can differ from measured ones.

Main lines, most intense first (2θ = 15–90°):
| d_spacing | 2θ (°) | I/Imax | hkl |
| --- | --- | --- | --- |
| 2.829 | 31.6 | 100.0 | 2 0 4 |
| 2.342 | 38.4 | 34.4 | 2 2 0 |
| 1.429 | 65.3 | 24.9 | 4 2 4 |
| 1.775 | 51.5 | 16.9 | 2 2 8 |
| 2.721 | 32.9 | 15.0 | 0 0 8 |
| 2.868 | 31.2 | 12.0 | 1 1 6 |

Structural model:
Cell lengths 6.624, 6.624, 21.766 Å; angles 90.00, 90.00, 90.00 degrees
Space group I-42m (No. 121)
One atom of each set of equivalent atoms:
Ac (0.241, 0.241, 0.121)
Cd (0.000, 0.000, 0.250)
Cd (0.000, 0.000, 0.500)
Cd (0.000, 0.500, 0.250)
Sn (0.000, 0.000, 0.000)
Sn (0.000, 0.500, 0.000)
Sn (0.245, 0.245, 0.341)


No. 5
YNi4Rh: simulated X-ray diffraction stick pattern (CuKα), based on a cell relaxed with GGA-PBE.
Peak positions follow from Bragg's law for the DFT cell and can differ from measured ones.

Main lines, most intense first (2θ = 15–90°):
| d_spacing | 2θ (°) | I/Imax | hkl |
| --- | --- | --- | --- |
| 2.085 | 43.4 | 100.0 | 3 1 1 |
| 2.445 | 36.8 | 42.9 | 2 2 0 |
| 1.331 | 70.8 | 28.9 | 3 3 3 |
| 1.996 | 45.4 | 27.2 | 2 2 2 |
| 1.222 | 78.2 | 23.1 | 4 4 0 |
| 1.411 | 66.2 | 14.7 | 4 2 2 |

Structural model:
Cell lengths 6.914, 6.914, 6.914 Å; angles 90.00, 90.00, 90.00 degrees
Space group F-43m (No. 216)
One atom of each set of equivalent atoms:
Y (0.000, 0.000, 0.000)
Ni (0.124, 0.124, 0.624)
Rh (0.250, 0.250, 0.250)


No. 6
TmHfSc2S6: simulated X-ray diffraction stick pattern (CuKα), based on a cell relaxed with GGA-PBE.
Peak positions follow from Bragg's law for the DFT cell and can differ from measured ones.

Main lines, most intense first (2θ = 15–90°):
| d_spacing | 2θ (°) | I/Imax | hkl |
| --- | --- | --- | --- |
| 4.775 | 18.6 | 100.0 | 0 1 2 |
| 2.202 | 41.0 | 78.1 | 2 -1 6 |
| 3.510 | 25.4 | 66.6 | 1 0 4 |
| 3.257 | 27.4 | 51.8 | 1 1 0 |
| 1.880 | 48.4 | 35.7 | 3 0 0 |
| 2.387 | 37.7 | 28.9 | 0 2 4 |

Structural model:
Cell lengths 6.5138, 6.5138, 17.9349 Å; angles 90.00, 90.00, 120.00 degrees
Space group R3 (No. 146, hexagonal axes)
One atom of each set of equivalent atoms:
Tm (0.0000, 0.0000, 0.0000)
Hf (0.0000, 0.0000, 0.4951)
Sc (0.0000, 0.0000, 0.3075)
Sc (0.0000, 0.0000, 0.8093)
S (0.0141, 0.7028, 0.4031)
S (0.0182, 0.3465, 0.5674)


No. 7
YPu3Rh4: simulated X-ray diffraction stick pattern (CuKα), based on a cell relaxed with GGA-PBE.
Peak positions follow from Bragg's law for the DFT cell and can differ from measured ones.

Main lines, most intense first (2θ = 15–90°):
| d_spacing | 2θ (°) | I/Imax | hkl |
| --- | --- | --- | --- |
| 2.428 | 37.0 | 100.0 | 2 0 2 |
| 2.420 | 37.1 | 99.2 | 0 2 0 |
| 1.399 | 66.9 | 23.9 | 5 1 1 |
| 1.716 | 53.4 | 23.5 | 2 2 2 |
| 3.428 | 26.0 | 22.0 | 1 1 1 |
| 1.400 | 66.8 | 18.0 | 2 0 -6 |

Structural model:
Cell lengths 8.373, 4.847, 8.409 Å; angles 90.00, 109.20, 90.00 degrees
Space group C2/m (No. 12)
One atom of each set of equivalent atoms:
Y (0.000, 0.000, 0.000)
Pu (0.000, 0.500, 0.500)
Pu (0.250, 0.000, 0.750)
Rh (0.125, 0.500, 0.874)
Rh (0.126, 0.000, 0.377)


No. 8
NaPu: simulated X-ray diffraction stick pattern (CuKα), based on a cell relaxed with GGA-PBE.
Peak positions follow from Bragg's law for the DFT cell and can differ from measured ones.

Main lines, most intense first (2θ = 15–90°):
| d_spacing | 2θ (°) | I/Imax | hkl |
| --- | --- | --- | --- |
| 2.790 | 32.1 | 100.0 | 4 -3 1 |
| 2.436 | 36.9 | 67.5 | 3 1 2 |
| 4.528 | 19.6 | 56.1 | 0 2 1 |
| 2.943 | 30.4 | 48.0 | 1 2 2 |
| 2.881 | 31.0 | 37.7 | 0 0 3 |
| 2.320 | 38.8 | 33.4 | 4 1 0 |

Structural model:
Cell lengths 12.2745, 12.2745, 8.6443 Å; angles 90.00, 90.00, 120.00 degrees
Space group R-3 (No. 148, hexagonal axes)
One atom of each set of equivalent atoms:
Na (0.0683, 0.1799, 0.3477)
Pu (0.0559, 0.6069, 0.6449)